1.
Structure and computed powder diffractogram of LiMn5P3O13 (DFT lattice parameters and positions (GGA+U); Cu Kα X-rays).
Peak positions follow from Bragg's law for the DFT cell and can differ from measured ones.

Largest 10 diffraction maxima, by angle, 15 to 90 degrees two-theta:
d = 3.272 Å, I = 22
d = 3.048 Å, I = 23
d = 2.763 Å, I = 100
d = 2.688 Å, I = 61
d = 2.677 Å, I = 47
d = 1.897 Å, I = 32
d = 1.846 Å, I = 18
d = 1.780 Å, I = 16
d = 1.774 Å, I = 33
d = 1.760 Å, I = 17

Crystal structure
```
LiMn5P3O13
1.0
9.312 0.000 0.000
-4.656 8.064 0.000
0.000 0.000 6.544
Li Mn P O
2 10 6 26
Direct
0.000 0.000 0.000 Li
0.000 0.000 0.500 Li
0.015 0.762 0.246 Mn
0.238 0.253 0.246 Mn
0.253 0.015 0.746 Mn
0.333 0.667 0.490 Mn
0.333 0.667 0.980 Mn
0.667 0.333 0.480 Mn
0.667 0.333 0.990 Mn
0.747 0.985 0.246 Mn
0.762 0.747 0.746 Mn
0.985 0.238 0.746 Mn
0.026 0.398 0.242 P
0.372 0.974 0.242 P
0.398 0.372 0.742 P
0.602 0.628 0.242 P
0.628 0.026 0.742 P
0.974 0.602 0.742 P
0.000 0.000 0.250 O
0.000 0.000 0.750 O
0.075 0.326 0.057 O
0.081 0.343 0.438 O
0.132 0.593 0.231 O
0.161 0.659 0.740 O
0.251 0.925 0.057 O
0.263 0.919 0.438 O
0.326 0.251 0.557 O
0.341 0.502 0.740 O
0.343 0.263 0.938 O
0.407 0.540 0.231 O
0.460 0.868 0.231 O
0.498 0.839 0.740 O
0.502 0.161 0.240 O
0.540 0.132 0.731 O
0.593 0.460 0.731 O
0.657 0.737 0.438 O
0.659 0.498 0.240 O
0.674 0.749 0.057 O
0.737 0.081 0.938 O
0.749 0.075 0.557 O
0.839 0.341 0.240 O
0.868 0.407 0.731 O
0.919 0.657 0.938 O
0.925 0.674 0.557 O
```


2.
Structure and computed powder diffractogram of LiV6O11F (DFT lattice parameters and positions (GGA+U); Cu Kα X-rays).
Peak positions follow from Bragg's law for the DFT cell and can differ from measured ones.

Largest 10 diffraction maxima, by angle, 15 to 90 degrees two-theta:
d = 3.368 Å, I = 100
d = 3.256 Å, I = 100
d = 2.547 Å, I = 27
d = 2.536 Å, I = 49
d = 2.527 Å, I = 24
d = 1.743 Å, I = 30
d = 1.730 Å, I = 27
d = 1.704 Å, I = 28
d = 1.684 Å, I = 19
d = 1.628 Å, I = 19

Crystal structure
```
LiV6O11F
1.0
4.682 0.000 0.000
0.159 4.684 0.000
0.030 0.078 9.054
Li V O F
1 6 11 1
Direct
0.000 0.000 0.000 Li
0.031 0.509 0.910 V
0.483 0.959 0.108 V
0.488 0.974 0.740 V
0.505 0.988 0.421 V
0.978 0.464 0.252 V
0.986 0.468 0.581 V
0.198 0.297 0.415 O
0.201 0.288 0.084 O
0.219 0.285 0.747 O
0.303 0.778 0.246 O
0.311 0.790 0.585 O
0.322 0.807 0.921 O
0.702 0.191 0.245 O
0.713 0.195 0.586 O
0.810 0.700 0.752 O
0.816 0.683 0.415 O
0.816 0.699 0.086 O
0.705 0.195 0.919 F
```


3.
Structure and computed powder diffractogram of MgZn2Mo3O8 (DFT lattice parameters and positions (GGA+U); Cu Kα X-rays).
Peak positions follow from Bragg's law for the DFT cell and can differ from measured ones.

Largest 10 diffraction maxima, by angle, 15 to 90 degrees two-theta:
d = 5.434 Å, I = 99
d = 3.460 Å, I = 38
d = 3.104 Å, I = 51
d = 2.715 Å, I = 80
d = 2.666 Å, I = 100
d = 2.246 Å, I = 38
d = 1.758 Å, I = 49
d = 1.635 Å, I = 28
d = 1.577 Å, I = 38
d = 1.555 Å, I = 28

Crystal structure
```
MgZn2Mo3O8
1.0
5.764 -3.111 0.000
5.764 3.111 0.000
-1.829 0.000 5.173
Mg Zn Mo O
1 2 3 8
Direct
0.000 0.000 0.000 Mg
0.222 0.222 0.143 Zn
0.778 0.778 0.857 Zn
0.241 0.759 0.500 Mo
0.500 0.500 0.000 Mo
0.759 0.241 0.500 Mo
0.106 0.106 0.765 O
0.148 0.648 0.776 O
0.352 0.852 0.224 O
0.396 0.396 0.257 O
0.604 0.604 0.743 O
0.648 0.148 0.776 O
0.852 0.352 0.224 O
0.894 0.894 0.235 O
```


4.
Structure and computed powder diffractogram of YW2O9 (DFT lattice parameters and positions (GGA+U); Cu Kα X-rays).
Peak positions follow from Bragg's law for the DFT cell and can differ from measured ones.

Largest 10 diffraction maxima, by angle, 15 to 90 degrees two-theta:
d = 5.905 Å, I = 31
d = 4.971 Å, I = 72
d = 4.880 Å, I = 100
d = 3.641 Å, I = 26
d = 3.332 Å, I = 40
d = 3.266 Å, I = 83
d = 2.949 Å, I = 48
d = 2.650 Å, I = 41
d = 2.065 Å, I = 31
d = 2.060 Å, I = 34

Crystal structure
```
YW2O9
1.0
6.041 0.000 0.000
0.000 8.664 0.000
-1.440 0.000 6.664
Y W O
2 4 18
Direct
0.194 0.250 0.255 Y
0.806 0.750 0.745 Y
0.319 0.065 0.811 W
0.319 0.435 0.811 W
0.681 0.565 0.189 W
0.681 0.935 0.189 W
0.091 0.571 0.809 O
0.091 0.929 0.809 O
0.145 0.250 0.876 O
0.276 0.086 0.534 O
0.276 0.414 0.534 O
0.424 0.072 0.130 O
0.424 0.428 0.130 O
0.450 0.750 0.483 O
0.458 0.750 0.174 O
0.542 0.250 0.826 O
0.550 0.250 0.517 O
0.576 0.572 0.870 O
0.576 0.928 0.870 O
0.724 0.586 0.466 O
0.724 0.914 0.466 O
0.855 0.750 0.124 O
0.909 0.071 0.191 O
0.909 0.429 0.191 O
```


What did the third record say?
Structure and computed powder diffractogram of MgZn2Mo3O8 (DFT lattice parameters and positions (GGA+U); Cu Kα X-rays).
Peak positions follow from Bragg's law for the DFT cell and can differ from measured ones.

Largest 10 diffraction maxima, by angle, 15 to 90 degrees two-theta:
d = 5.434 Å, I = 99
d = 3.460 Å, I = 38
d = 3.104 Å, I = 51
d = 2.715 Å, I = 80
d = 2.666 Å, I = 100
d = 2.246 Å, I = 38
d = 1.758 Å, I = 49
d = 1.635 Å, I = 28
d = 1.577 Å, I = 38
d = 1.555 Å, I = 28

Crystal structure
```
MgZn2Mo3O8
1.0
5.764 -3.111 0.000
5.764 3.111 0.000
-1.829 0.000 5.173
Mg Zn Mo O
1 2 3 8
Direct
0.000 0.000 0.000 Mg
0.222 0.222 0.143 Zn
0.778 0.778 0.857 Zn
0.241 0.759 0.500 Mo
0.500 0.500 0.000 Mo
0.759 0.241 0.500 Mo
0.106 0.106 0.765 O
0.148 0.648 0.776 O
0.352 0.852 0.224 O
0.396 0.396 0.257 O
0.604 0.604 0.743 O
0.648 0.148 0.776 O
0.852 0.352 0.224 O
0.894 0.894 0.235 O
```